Pa2TePbO8: simulated X-ray powder pattern (Cu Kα), based on a DFT-relaxed cell (GGA-PBE, Alexandria).
Peak positions follow from Bragg's law for the DFT cell and can differ from measured ones.

Peak list (6 most intense, 10° ≤ 2θ ≤ 90°, in order of rising 2θ)
2theta, I (rel.), index
23.97, 53, 0 2 0
24.48, 48, 2 0 0
30.12, 100, 1 1 2
34.53, 30, 2 2 0
46.17, 40, 1 3 2
46.75, 36, 3 1 2

Structure:
Lattice parameters (Å, degrees): 7.2722 7.4245 7.2289 90.00 90.00 90.00
Space group Cmmm (No. 65)
One atom of each set of equivalent atoms:
Pa (0.0000, 0.0000, 0.2481) x4
Te (0.0000, 0.5000, 0.0000) x2
Pb (0.0000, 0.5000, 0.5000) x2
O (0.0000, 0.1689, 0.5000) x4
O (0.0000, 0.1916, 0.0000) x4
O (0.2081, 0.5000, 0.2169) x8

ScBe2Au: simulated X-ray powder pattern (Cu Kα), based on a DFT-relaxed cell (GGA-PBE, Alexandria).
Peak positions follow from Bragg's law for the DFT cell and can differ from measured ones.

Peak list (6 most intense, 10° ≤ 2θ ≤ 90°, in order of rising 2θ)
2theta, I (rel.), index
20.30, 39, 0 0 3
26.91, 50, 1 0 1
29.42, 100, 0 1 2
37.98, 58, 1 0 4
45.91, 36, 1 1 0
63.42, 25, 1 1 6

Structure:
Lattice parameters (Å, degrees): 3.9537 3.9537 13.1267 90.00 90.00 120.00
Space group R-3m (No. 166, hexagonal axes)
One atom of each set of equivalent atoms:
Sc (0.0000, 0.0000, 0.0000) x3
Be (0.0000, 0.0000, 0.2042) x6
Au (0.0000, 0.0000, 0.5000) x3